For MgV4P4O20, a GGA+U-relaxed structure gives the computed powder diffractogram in this record (Cu Kα (weighted mean of Kα1 and Kα2)).
Peak positions follow from Bragg's law for the DFT cell and can differ from measured ones.

Principal peaks in the range 15° ≤ 2θ ≤ 90°, by angle:
- 18.5 deg, I = 360, (0 0 2)
- 19.0 deg, I = 460, (1 1 1)
- 21.8 deg, I = 646, (1 1 -1)
- 26.0 deg, I = 750, (1 -1 0)
- 26.6 deg, I = 243, (0 2 2)
- 26.8 deg, I = 1000, (1 2 0)
- 27.6 deg, I = 836, (-1 1 2)
- 30.0 deg, I = 230, (1 -1 1)
- 32.4 deg, I = 267, (1 2 3)
- 34.7 deg, I = 360, (0 1 4)

Cell and atoms:
```
MgV4P4O20
1.0
5.3238 0.0000 0.0000
2.5379 7.0656 0.0000
0.2411 3.8482 9.5846
Mg V P O
1 4 4 20
Direct
0.0000 0.0000 0.0000
0.3739 0.8505 0.6932
0.3961 0.8241 0.3270
0.4473 0.3790 0.9487
0.9396 0.3363 0.4681
0.0312 0.5593 0.6807
0.1416 0.5630 0.1674
0.7443 0.0894 0.7509
0.7714 0.1013 0.2714
0.0287 0.9068 0.3349
0.0442 0.9479 0.8041
0.0803 0.4129 0.6000
0.1234 0.4200 0.8392
0.1335 0.4543 0.3250
0.2170 0.6839 0.6306
0.2222 0.0668 0.5466
0.2237 0.4036 0.0999
0.3520 0.8488 0.1353
0.4097 0.6341 0.1500
0.4825 0.6033 0.8839
0.5304 0.0304 0.3158
0.5476 0.9762 0.7817
0.6446 0.5974 0.4056
0.6922 0.2113 0.8519
0.7131 0.2278 0.5966
0.7328 0.6978 0.6547
0.7625 0.1752 0.1073
0.7781 0.2619 0.3256
0.9049 0.7553 0.0982
```